No. 1
Calculated powder XRD pattern of LiHg4Ru for Cu Kα X-rays, from DFT lattice parameters and positions (PBE).
Neutral-atom scattering factors, no anomalous dispersion.

Crystal structure
a = 5.6980 Å, b = 5.6980 Å, c = 5.6980 Å
α = 60.00°, β = 60.00°, γ = 60.00°
Element x y z (fractional)
Li: 0.0000 0.0000 0.0000
Hg: 0.3753 0.3753 0.3753
Hg: 0.3753 0.3753 0.8741
Hg: 0.3753 0.8741 0.3753
Hg: 0.8741 0.3753 0.3753
Ru: 0.7500 0.7500 0.7500

Peak list (10 most intense, 2θ from 10° to 80°, in order of rising 2θ)
- 2θ 19.08, I = 79
- 2θ 37.00, I = 100
- 2θ 38.71, I = 83
- 2θ 45.00, I = 30
- 2θ 49.29, I = 21
- 2θ 59.62, I = 34
- 2θ 65.53, I = 34
- 2θ 68.94, I = 16
- 2θ 77.71, I = 12
- 2θ 78.78, I = 33

***

No. 2
Calculated powder XRD pattern of Ti3NbGa6 for Cu Kα X-rays, from DFT lattice parameters and positions (PBE).
Neutral-atom scattering factors, no anomalous dispersion.

Crystal structure
a = 8.5739 Å, b = 8.5739 Å, c = 5.1609 Å
α = 90.00°, β = 90.00°, γ = 117.28°
Element x y z (fractional)
Ti: 0.1568 0.8432 0.7500
Ti: 0.2063 0.3639 0.2500
Ti: 0.3639 0.2063 0.7500
Ti: 0.6361 0.7937 0.2500
Ti: 0.7937 0.6361 0.7500
Ti: 0.8432 0.1568 0.2500
Nb: 0.3435 0.6565 0.7500
Nb: 0.6565 0.3435 0.2500
Ga: 0.0000 0.5000 0.0000
Ga: 0.0000 0.5000 0.5000
Ga: 0.0641 0.2403 0.7500
Ga: 0.2403 0.0641 0.2500
Ga: 0.2806 0.7194 0.2500
Ga: 0.5000 0.0000 0.0000
Ga: 0.5000 0.0000 0.5000
Ga: 0.5000 0.5000 0.0000
Ga: 0.5000 0.5000 0.5000
Ga: 0.7194 0.2806 0.7500
Ga: 0.7597 0.9359 0.7500
Ga: 0.9359 0.7597 0.2500

Peak list (10 most intense, 2θ from 10° to 80°, in order of rising 2θ)
- 2θ 11.61, I = 16
- 2θ 30.67, I = 15
- 2θ 32.17, I = 17
- 2θ 35.36, I = 14
- 2θ 36.70, I = 32
- 2θ 39.54, I = 37
- 2θ 40.42, I = 20
- 2θ 40.85, I = 13
- 2θ 42.27, I = 100
- 2θ 42.88, I = 27

***

No. 3
Calculated powder XRD pattern of In3Cu3O8 for Cu Kα X-rays, from DFT lattice parameters and positions (PBE).
Neutral-atom scattering factors, no anomalous dispersion.

Crystal structure
a = 6.1755 Å, b = 10.1885 Å, c = 5.9937 Å
α = 90.00°, β = 110.31°, γ = 90.00°
Element x y z (fractional)
In: 0.0000 0.0000 0.0000
In: 0.0000 0.5000 0.5000
In: 0.0432 0.1668 0.5192
In: 0.0432 0.3332 0.0192
In: 0.9568 0.6668 0.9808
In: 0.9568 0.8332 0.4808
Cu: 0.4814 0.6923 0.5087
Cu: 0.4814 0.8077 0.0087
Cu: 0.5000 0.0000 0.5000
Cu: 0.5000 0.5000 0.0000
Cu: 0.5186 0.1923 0.9913
Cu: 0.5186 0.3077 0.4913
O: 0.1544 0.6718 0.3803
O: 0.1544 0.8282 0.8803
O: 0.1743 0.5103 0.8926
O: 0.1743 0.9897 0.3926
O: 0.1976 0.1591 0.9142
O: 0.1976 0.3409 0.4142
O: 0.4813 0.1535 0.6667
O: 0.4813 0.3465 0.1667
O: 0.5187 0.6535 0.8333
O: 0.5187 0.8465 0.3333
O: 0.8024 0.6591 0.5858
O: 0.8024 0.8409 0.0858
O: 0.8257 0.0103 0.6074
O: 0.8257 0.4897 0.1074
O: 0.8456 0.1718 0.1197
O: 0.8456 0.3282 0.6197

Peak list (10 most intense, 2θ from 10° to 80°, in order of rising 2θ)
- 2θ 15.30, I = 14
- 2θ 30.88, I = 29
- 2θ 31.86, I = 100
- 2θ 35.99, I = 14
- 2θ 37.01, I = 27
- 2θ 39.79, I = 8
- 2θ 51.95, I = 16
- 2θ 52.67, I = 7
- 2θ 53.20, I = 21
- 2θ 54.01, I = 9

***

No. 4
Calculated powder XRD pattern of Tm3Al5Cu for Cu Kα X-rays, from DFT lattice parameters and positions (PBE).
Neutral-atom scattering factors, no anomalous dispersion.

Crystal structure
a = 6.9069 Å, b = 6.9069 Å, c = 4.3077 Å
α = 90.00°, β = 90.00°, γ = 120.00°
Element x y z (fractional)
Tm: 0.0000 0.4120 0.0000
Tm: 0.4120 0.0000 0.0000
Tm: 0.5880 0.5880 0.0000
Al: 0.0000 0.7641 0.5000
Al: 0.2359 0.2359 0.5000
Al: 0.3333 0.6667 0.5000
Al: 0.6667 0.3333 0.5000
Al: 0.7641 0.0000 0.5000
Cu: 0.0000 0.0000 0.0000

Peak list (10 most intense, 2θ from 10° to 80°, in order of rising 2θ)
- 2θ 20.62, I = 60
- 2θ 25.80, I = 49
- 2θ 29.88, I = 43
- 2θ 33.25, I = 100
- 2θ 36.58, I = 88
- 2θ 39.87, I = 30
- 2θ 41.95, I = 26
- 2θ 55.38, I = 24
- 2θ 59.73, I = 41
- 2θ 71.83, I = 22